No. 1
This entry pairs a crystal structure of DyBePt4 with its theoretical powder diffractogram. Radiation: Cu Kα, 1.54184 Å. Structure: a structure optimized by DFT (PBE).

Top 10 peaks for 10 to 90 degrees two-theta, by intensity:
2theta	I_rel
36.66	100
37.32	91
45.46	39
46.36	30
66.95	25
36.56	22
70.48	19
79.52	17
48.80	15
78.99	15

a b c (Å): 7.8858 7.8858 6.4224
angles (deg): 90.00 90.00 151.24
Sites, in units of the cell vectors:
Dy 0.1088 0.8912 0.7500
Dy 0.8912 0.1088 0.2500
Be 0.2288 0.7712 0.2500
Be 0.7712 0.2288 0.7500
Pt 0.0819 0.9181 0.2500
Pt 0.3141 0.6859 0.5406
Pt 0.3141 0.6859 0.9594
Pt 0.5000 0.5000 0.0000
Pt 0.5000 0.5000 0.5000
Pt 0.6859 0.3141 0.0406
Pt 0.6859 0.3141 0.4594
Pt 0.9181 0.0819 0.7500

***

No. 2
This entry pairs a crystal structure of KSrUS4 with its theoretical powder diffractogram. Radiation: Cu Kα, 1.54184 Å. Structure: a structure optimized by DFT (PBE).

Top 10 peaks for 10 to 90 degrees two-theta, by intensity:
2theta	I_rel
11.57	100
24.45	90
18.01	82
24.19	80
34.47	61
34.00	49
42.71	43
49.20	35
50.11	30
36.48	26

a b c (Å): 5.2035 5.2035 15.2904
angles (deg): 90.00 90.00 90.00
Sites, in units of the cell vectors:
K 0.0000 0.0000 0.0000
K 0.5000 0.5000 0.5000
Sr 0.0000 0.0000 0.7222
Sr 0.5000 0.5000 0.2222
U 0.0000 0.0000 0.3619
U 0.5000 0.5000 0.8619
S 0.0000 0.0000 0.1965
S 0.0000 0.0000 0.5278
S 0.0000 0.5000 0.3508
S 0.0000 0.5000 0.8508
S 0.5000 0.0000 0.3508
S 0.5000 0.0000 0.8508
S 0.5000 0.5000 0.0278
S 0.5000 0.5000 0.6965

***

No. 3
This entry pairs a crystal structure of Zr3Bi2Sb with its theoretical powder diffractogram. Radiation: Cu Kα, 1.54184 Å. Structure: a structure optimized by DFT (PBE).

Top 10 peaks for 10 to 90 degrees two-theta, by intensity:
2theta	I_rel
29.80	100
43.01	74
30.29	50
53.21	38
42.66	37
25.88	28
71.24	17
70.46	16
78.40	13
79.08	12

a b c (Å): 7.3296 7.3296 8.4703
angles (deg): 106.81 106.81 47.48
Sites, in units of the cell vectors:
Zr 0.0016 0.9984 0.7500
Zr 0.3509 0.3512 0.4254
Zr 0.3512 0.3509 0.9254
Zr 0.6488 0.6491 0.0746
Zr 0.6491 0.6488 0.5746
Zr 0.9984 0.0016 0.2500
Bi 0.1738 0.1741 0.0869
Bi 0.1741 0.1738 0.5869
Bi 0.8259 0.8262 0.4131
Bi 0.8262 0.8259 0.9131
Sb 0.4984 0.5016 0.2500
Sb 0.5016 0.4984 0.7500

***

No. 4
This entry pairs a crystal structure of PaMn3C2 with its theoretical powder diffractogram. Radiation: Cu Kα, 1.54184 Å. Structure: a structure optimized by DFT (PBE).

Top 10 peaks for 10 to 90 degrees two-theta, by intensity:
2theta	I_rel
42.68	100
28.20	100
36.07	85
29.49	53
46.34	51
26.50	46
13.99	43
37.78	37
33.28	36
51.64	35

a b c (Å): 6.3150 6.3150 7.1259
angles (deg): 116.16 116.16 32.55
Sites, in units of the cell vectors:
Pa 0.1361 0.1361 0.0485
Pa 0.8639 0.8639 0.9515
Mn 0.0629 0.0629 0.4070
Mn 0.2885 0.2885 0.6002
Mn 0.3986 0.3986 0.3287
Mn 0.6014 0.6014 0.6713
Mn 0.7115 0.7115 0.3998
Mn 0.9371 0.9371 0.5930
C 0.1867 0.1867 0.7438
C 0.4711 0.4711 0.7609
C 0.5289 0.5289 0.2391
C 0.8133 0.8133 0.2562